1.
PmScOs2: theoretical X-ray powder pattern (Cu Kα X-rays), based on the GGA-PBE geometry in Alexandria.

Crystal structure
```
4
Lattice="3.353 0.000 0.000 0.000 3.353 0.000 0.000 0.000 6.751" Properties=species:S:1:pos:R:3 pbc="T T T"
Pm 0.000 0.000 0.000
Sc 0.000 0.000 3.376
Os 1.677 1.677 1.855
Os 1.677 1.677 4.896
```

Top 12 peaks for 2θ = 10–80°, in order of rising 2θ:
Position (°2θ), I_rel
26.40, 5.5
26.58, 13.4
29.75, 16.1
37.82, 100.0
37.94, 52.8
40.07, 5.2
54.36, 7.2
54.75, 18.3
56.37, 7.9
68.20, 14.5
68.46, 35.1
75.98, 6.1

2.
Cs3Tl2As2: theoretical X-ray powder pattern (Cu Kα X-rays), based on the GGA-PBE geometry in Alexandria.

Crystal structure
```
14
Lattice="4.505 0.000 0.000 0.000 5.669 0.000 0.000 0.000 23.915" Properties=species:S:1:pos:R:3 pbc="T T T"
Cs 0.000 0.000 0.000
Cs 0.000 2.834 7.318
Cs 0.000 2.834 16.597
Cs 2.252 0.000 4.639
Cs 2.252 0.000 19.275
Cs 2.252 2.834 11.957
Tl 0.000 0.000 10.172
Tl 0.000 0.000 13.743
Tl 2.252 2.834 1.786
Tl 2.252 2.834 22.129
As 0.000 2.834 3.441
As 0.000 2.834 20.474
As 2.252 0.000 8.517
As 2.252 0.000 15.398
```

Top 12 peaks for 2θ = 10–80°, in order of rising 2θ:
Position (°2θ), I_rel
16.07, 23.2
24.35, 81.3
26.35, 100.0
31.57, 38.8
32.90, 55.4
33.94, 33.5
40.03, 20.3
46.24, 42.9
47.41, 26.9
51.85, 19.2
52.76, 14.4
53.12, 14.4